1.
Starting from a cell relaxed with PBE, the powder X-ray diffraction pattern of Ce2I5 was simulated for Cu Kα, 1.54184 Å.
Lines closer than 0.1° are merged.

Largest 8 diffraction maxima, in order of rising 2θ, 2θ from 10° to 90°:
2θ 17.0, intensity 53; 2θ 26.0, intensity 61; 2θ 28.5, intensity 100; 2θ 31.2, intensity 61; 2θ 31.5, intensity 51; 2θ 32.7, intensity 56; 2θ 33.6, intensity 73; 2θ 35.7, intensity 44

Atomic structure:
a = 17.3141 Å, b = 7.4711 Å, c = 8.5772 Å
α = 90.00°, β = 96.48°, γ = 90.00°
Space group C2/c (No. 15)
Unique sites:
1 Ce 0.1070 0.2191 0.0847 x8
2 I 0.0000 0.0821 0.7500 x4
3 I 0.0870 0.3782 0.4283 x8
4 I 0.2196 0.0827 0.8241 x8



2.
Starting from a cell relaxed with PBE, the powder X-ray diffraction pattern of V3Co2Rh2 was simulated for Cu Kα, 1.54184 Å.
Lines closer than 0.1° are merged.

Largest 8 diffraction maxima, in order of rising 2θ, 2θ from 10° to 90°:
2θ 14.6, intensity 23; 2θ 29.6, intensity 11; 2θ 41.4, intensity 46; 2θ 42.2, intensity 100; 2θ 43.3, intensity 42; 2θ 47.3, intensity 64; 2θ 52.8, intensity 22; 2θ 72.3, intensity 15

Atomic structure:
a = 2.7262 Å, b = 5.6053 Å, c = 6.3077 Å
α = 105.96°, β = 90.06°, γ = 104.05°
Space group P-1 (No. 2)
Unique sites:
1 V 0.0000 0.0000 0.0000 x1
2 V 0.2667 0.5334 0.8413 x2
3 Co 0.4290 0.8590 0.2649 x2
4 Rh 0.1341 0.2691 0.4182 x2